Entry 1:
Simulated powder XRD pattern
Compound: KAl11O17
Radiation: CuKα
Structure: a cell relaxed with PBE

Principal peaks in the range 2θ = 10–90°, in order of rising 2θ:
d (Å)  two_theta  I/Imax
5.739  15.4  99
4.780  18.6  48
4.120  21.6  57
2.726  32.9  100
2.440  36.8  75
1.965  46.2  49
1.433  65.1  48
1.413  66.1  59

Cell: 5.6509 5.6509 22.9557 Å, 90.00 90.00 119.72°
Element x y z (fractional)
1 K 0.1052 0.8948 0.7500
2 K 0.8948 0.1052 0.2500
3 Al 0.0000 0.0000 0.0000
4 Al 0.0000 0.0000 0.5000
5 Al 0.1704 0.3329 0.6064
6 Al 0.1704 0.3329 0.8936
7 Al 0.1710 0.8290 0.6043
8 Al 0.1710 0.8290 0.8957
9 Al 0.3329 0.1704 0.1064
10 Al 0.3329 0.1704 0.3936
11 Al 0.3326 0.6674 0.1748
12 Al 0.3326 0.6674 0.3252
13 Al 0.3347 0.6653 0.0253
14 Al 0.3347 0.6653 0.4747
15 Al 0.6653 0.3347 0.5253
16 Al 0.6653 0.3347 0.9747
17 Al 0.6674 0.3326 0.6748
18 Al 0.6674 0.3326 0.8252
19 Al 0.6671 0.8296 0.6064
20 Al 0.6671 0.8296 0.8936
21 Al 0.8290 0.1710 0.1043
22 Al 0.8290 0.1710 0.3957
23 Al 0.8296 0.6671 0.1064
24 Al 0.8296 0.6671 0.3936
25 O 0.0032 0.9968 0.6408
26 O 0.0032 0.9968 0.8592
27 O 0.0068 0.5013 0.6444
28 O 0.0068 0.5013 0.8556
29 O 0.1547 0.3102 0.0491
30 O 0.1547 0.3102 0.4509
31 O 0.1581 0.8419 0.0500
32 O 0.1581 0.8419 0.4500
33 O 0.3102 0.1547 0.5491
34 O 0.3102 0.1547 0.9509
35 O 0.3357 0.6643 0.5546
36 O 0.3357 0.6643 0.9454
37 O 0.3370 0.6630 0.2500
38 O 0.4972 0.5028 0.1431
39 O 0.4972 0.5028 0.3569
40 O 0.4987 0.9932 0.6444
41 O 0.4987 0.9932 0.8556
42 O 0.5013 0.0068 0.1444
43 O 0.5013 0.0068 0.3556
44 O 0.5028 0.4972 0.6431
45 O 0.5028 0.4972 0.8569
46 O 0.6630 0.3370 0.7500
47 O 0.6643 0.3357 0.0546
48 O 0.6643 0.3357 0.4454
49 O 0.6898 0.8453 0.0491
50 O 0.6898 0.8453 0.4509
51 O 0.8419 0.1581 0.5500
52 O 0.8419 0.1581 0.9500
53 O 0.8453 0.6898 0.5491
54 O 0.8453 0.6898 0.9509
55 O 0.9932 0.4987 0.1444
56 O 0.9932 0.4987 0.3556
57 O 0.9968 0.0032 0.1408
58 O 0.9968 0.0032 0.3592

***

Entry 2:
Simulated powder XRD pattern
Compound: Ti2VNi9
Radiation: CuKα
Structure: a cell relaxed with PBE

Principal peaks in the range 2θ = 10–90°, in order of rising 2θ:
d (Å)  two_theta  I/Imax
2.185  41.3  8
2.113  42.8  45
2.072  43.7  37
1.933  47.0  100
1.714  53.5  22
1.321  71.4  9
1.262  75.3  19
1.168  82.6  17

Cell: 5.0461 5.0461 24.8695 Å, 90.00 90.00 120.00°
Element x y z (fractional)
1 Ti 0.0000 0.0000 0.0834
2 Ti 0.0000 0.0000 0.2501
3 Ti 0.0000 0.0000 0.4165
4 Ti 0.0000 0.0000 0.5835
5 Ti 0.0000 0.0000 0.7499
6 Ti 0.0000 0.0000 0.9166
7 Ti 0.3333 0.6667 0.3333
8 Ti 0.3333 0.6667 0.6667
9 V 0.3333 0.6667 0.0000
10 V 0.6667 0.3333 0.1668
11 V 0.6667 0.3333 0.5000
12 V 0.6667 0.3333 0.8332
13 Ni 0.1704 0.3409 0.5000
14 Ni 0.1704 0.8296 0.5000
15 Ni 0.1705 0.3410 0.1666
16 Ni 0.1705 0.3410 0.8334
17 Ni 0.1705 0.8295 0.1666
18 Ni 0.1705 0.8295 0.8334
19 Ni 0.3406 0.1703 0.0000
20 Ni 0.3411 0.1705 0.3333
21 Ni 0.3411 0.1705 0.6667
22 Ni 0.5003 0.0007 0.0835
23 Ni 0.5003 0.0007 0.9165
24 Ni 0.5003 0.4997 0.0835
25 Ni 0.5003 0.4997 0.9165
26 Ni 0.5011 0.0023 0.2495
27 Ni 0.5010 0.0019 0.4171
28 Ni 0.5010 0.0019 0.5829
29 Ni 0.5011 0.0023 0.7505
30 Ni 0.5011 0.4989 0.2495
31 Ni 0.5010 0.4990 0.4171
32 Ni 0.5010 0.4990 0.5829
33 Ni 0.5011 0.4989 0.7505
34 Ni 0.6590 0.8295 0.1666
35 Ni 0.6590 0.8295 0.8334
36 Ni 0.6591 0.8296 0.5000
37 Ni 0.8295 0.1705 0.3333
38 Ni 0.8295 0.1705 0.6667
39 Ni 0.8295 0.6589 0.3333
40 Ni 0.8295 0.6589 0.6667
41 Ni 0.8297 0.1703 0.0000
42 Ni 0.8297 0.6594 0.0000
43 Ni 0.9977 0.4989 0.2495
44 Ni 0.9981 0.4990 0.4171
45 Ni 0.9981 0.4990 0.5829
46 Ni 0.9977 0.4989 0.7505
47 Ni 0.9993 0.4997 0.0835
48 Ni 0.9993 0.4997 0.9165

***

Entry 3:
Simulated powder XRD pattern
Compound: Mg14NbSiO16
Radiation: CuKα
Structure: a cell relaxed with PBE

Principal peaks in the range 2θ = 10–90°, in order of rising 2θ:
d (Å)  two_theta  I/Imax
8.663  10.2  23
2.496  36.0  28
2.166  41.7  100
2.154  41.9  49
1.531  60.4  29
1.527  60.6  57
1.305  72.4  11
1.248  76.3  26

Cell: 8.6633 8.6633 4.3079 Å, 90.00 90.00 90.00°
Element x y z (fractional)
1 Mg 0.0000 0.2524 0.0000
2 Mg 0.0000 0.5000 0.5000
3 Mg 0.0000 0.7476 0.0000
4 Mg 0.2467 0.5000 0.0000
5 Mg 0.2497 0.2497 0.5000
6 Mg 0.2497 0.7503 0.5000
7 Mg 0.2524 0.0000 0.0000
8 Mg 0.5000 0.0000 0.5000
9 Mg 0.5000 0.2467 0.0000
10 Mg 0.5000 0.7533 0.0000
11 Mg 0.7476 0.0000 0.0000
12 Mg 0.7503 0.2497 0.5000
13 Mg 0.7503 0.7503 0.5000
14 Mg 0.7533 0.5000 0.0000
15 Nb 0.5000 0.5000 0.5000
16 Si 0.0000 0.0000 0.5000
17 O 0.0000 0.0000 0.0000
18 O 0.0000 0.2590 0.5000
19 O 0.0000 0.5000 0.0000
20 O 0.0000 0.7410 0.5000
21 O 0.2384 0.5000 0.5000
22 O 0.2499 0.2499 0.0000
23 O 0.2499 0.7501 0.0000
24 O 0.2590 0.0000 0.5000
25 O 0.5000 0.0000 0.0000
26 O 0.5000 0.2384 0.5000
27 O 0.5000 0.5000 0.0000
28 O 0.5000 0.7616 0.5000
29 O 0.7410 0.0000 0.5000
30 O 0.7501 0.2499 0.0000
31 O 0.7501 0.7501 0.0000
32 O 0.7616 0.5000 0.5000